# LiCoPO4
Simulated XRD peak list, Cu Kα, 1.54184 Å. Input: the PBE+U geometry in Alexandria.
Peak positions follow from Bragg's law for the DFT cell and can differ from measured ones.

Top 10 peaks for 2θ = 5–70°, in order of rising 2θ:
hkl 1 1 -1, 2θ 19.3, I 100
hkl 1 1 1, 2θ 19.6, I 16
hkl 0 0 4, 2θ 22.3, I 30
hkl 2 0 -2, 2θ 23.9, I 11
hkl 2 0 2, 2θ 24.7, I 14
hkl 0 2 0, 2θ 30.7, I 18
hkl 2 0 4, 2θ 31.8, I 9
hkl 1 1 -5, 2θ 33.5, I 14
hkl 3 1 -3, 2θ 39.4, I 17
hkl 3 1 3, 2θ 40.6, I 11

Structure:
Lattice parameters (Å, degrees): 8.2600 5.8318 15.9498 90.00 92.24 90.00
Space group C2/c (No. 15)
One atom of each set of equivalent atoms:
Li  0.2416  0.0049  0.2522 (multiplicity 8)
Co  0.1607  0.2525  0.0825 (multiplicity 8)
P  0.0101  0.2472  0.8714 (multiplicity 8)
O  0.0871  0.0231  0.6434 (multiplicity 8)
O  0.1016  0.2486  0.9595 (multiplicity 8)
O  0.1048  0.4552  0.6395 (multiplicity 8)
O  0.1506  0.2580  0.8096 (multiplicity 8)